Structure and theoretical X-ray diffraction stick pattern of Li2PWCO7 (DFT lattice parameters and positions (GGA+U); Cu Kα (λ = 1.5418 Å)).
Neutral-atom scattering factors, no anomalous dispersion.

Structural model:
```
data_Li2PWCO7
_symmetry_space_group_name_H-M 'P 1 21/m 1'
_symmetry_Int_Tables_number 11
_cell_length_a 4.980
_cell_length_b 6.686
_cell_length_c 8.871
_cell_angle_alpha 90.00
_cell_angle_beta 95.46
_cell_angle_gamma 90.00
loop_
_symmetry_equiv_pos_as_xyz
'x,y,z'
'-x,-y,-z'
'-x,y+1/2,-z'
'x,-y+1/2,z'
loop_
_atom_site_label
_atom_site_type_symbol
_atom_site_fract_x
_atom_site_fract_y
_atom_site_fract_z
Li1 Li 0.239 0.019 0.284
P1 P 0.269 0.750 0.906
W1 W 0.211 0.250 0.846
C1 C 0.292 0.250 0.558
O1 O 0.053 0.250 0.609
O2 O 0.156 0.565 0.816
O3 O 0.178 0.750 0.069
O4 O 0.330 0.250 0.419
O5 O 0.416 0.250 0.078
O6 O 0.496 0.250 0.668
```

Most intense lines, 2θ = 10–90°, low angle first:
d [Å]	Rel. int.	index
8.831	100	0 0 1
5.331	82	0 1 1
4.157	48	1 0 1
3.982	55	1 1 0
3.465	40	1 0 -2
3.343	55	0 2 0